Starting from a DFT-relaxed cell (PBE, the Materials Project), the powder diffractogram of Mg6CrGa was calculated for Cu Kα X-rays.

Most intense lines, 2θ = 15–90°, low angle first:
- d = 5.363 Å, 16.53 deg, I 22.6
- d = 2.669 Å, 33.58 deg, I 28.7
- d = 2.494 Å, 36.02 deg, I 38.7
- d = 2.362 Å, 38.09 deg, I 50.6
- d = 2.353 Å, 38.25 deg, I 100.0
- d = 1.314 Å, 71.85 deg, I 18.2

a b c (Å): 4.987 6.153 10.729
angles (deg): 90.00 90.00 90.00
Space group Amm2 (No. 38)
Unique sites:
Mg 0.000 0.000 0.000
Mg 0.000 0.000 0.498
Mg 0.000 0.248 0.254
Mg 0.500 0.249 0.585
Cr 0.500 0.000 0.335
Ga 0.500 0.000 0.835